For KCoH3C3O6, the PBE+U geometry in Alexandria gives the simulated X-ray diffraction stick pattern in this record (Cu Kα).

Structure:
a b c (Å): 7.123 7.123 6.974
angles (deg): 94.32 94.32 79.44
Sites, in units of the cell vectors:
K 0.107 0.893 0.750
K 0.893 0.107 0.250
Co 0.000 0.500 0.000
Co 0.500 0.000 0.500
H 0.328 0.431 0.531
H 0.375 0.625 0.250
H 0.431 0.328 0.031
H 0.569 0.672 0.969
H 0.625 0.375 0.750
H 0.672 0.569 0.469
C 0.253 0.747 0.250
C 0.266 0.373 0.650
C 0.373 0.266 0.150
C 0.627 0.734 0.850
C 0.734 0.627 0.350
C 0.747 0.253 0.750
O 0.116 0.740 0.124
O 0.170 0.496 0.763
O 0.193 0.298 0.161
O 0.260 0.884 0.376
O 0.298 0.193 0.661
O 0.496 0.170 0.263
O 0.504 0.830 0.737
O 0.702 0.807 0.339
O 0.740 0.116 0.624
O 0.807 0.702 0.839
O 0.830 0.504 0.237
O 0.884 0.260 0.876

Largest 10 diffraction maxima, by intensity, 10 to 90 degrees two-theta:
| two_theta | I_rel |
| --- | --- |
| 18.58 | 100.0 |
| 32.91 | 73.4 |
| 17.43 | 70.3 |
| 35.34 | 39.1 |
| 29.12 | 31.0 |
| 26.40 | 30.7 |
| 16.26 | 27.2 |
| 30.50 | 25.6 |
| 41.77 | 21.0 |
| 45.92 | 20.3 |